The following is a computed powder X-ray diffraction pattern of Sr4MnSn3O12. It was derived from DFT lattice parameters and positions (PBE+U), using a wavelength of 1.5418 Å.

Atomic structure:
Unit cell a=8.102 b=8.102 c=8.102 alpha=90.00 beta=90.00 gamma=90.00
Space group Im-3m (No. 229)
One atom of each set of equivalent atoms:
Sr: 0.250 0.250 0.250 x8
Mn: 0.000 0.000 0.000 x2
Sn: 0.000 0.000 0.500 x6
O: 0.000 0.000 0.242 x12
O: 0.000 0.250 0.500 x12

The 8 most intense peaks (5° ≤ 2θ ≤ 70°), in order of rising 2θ:
2theta, I/Imax
15.47, 4
21.94, 5
26.96, 2
31.23, 100
44.74, 34
50.37, 2
55.57, 40
65.13, 21